Entry 1:
Structure and simulated X-ray diffraction stick pattern of Sm8Si3AsI4 (DFT lattice parameters and positions (PBE); Cu Kα).
Intensities are scaled so that the largest is 100.

Structural model:
```
data_Sm8Si3AsI4
_chemical_formula_sum 'Sm24 Si9 As3 I12'
_cell_length_a 8.5549
_cell_length_b 8.5549
_cell_length_c 22.8562
_cell_angle_alpha 90.00
_cell_angle_beta 90.00
_cell_angle_gamma 120.00
_space_group_name_H-M_alt 'R -3 m'
_space_group_IT_number 166
_space_group_name_Hall '-R 3 2"'
loop_
_atom_site_label
_atom_site_type_symbol
_atom_site_fract_x
_atom_site_fract_y
_atom_site_fract_z
Sm1 Sm 0.0000 0.0000 0.2317
Sm2 Sm 0.0051 0.5025 0.7687
Si1 Si 0.0000 0.5000 0.5000
As1 As 0.0000 0.0000 0.5000
I1 I 0.0000 0.0000 0.0000
I2 I 0.0000 0.5000 0.0000
```

Peak list (10 most intense, 2θ from 15° to 90°, in order of falling intensity)
28.72 deg, intensity 100, (0 2 4); 42.26 deg, intensity 40, (2 2 0); 31.07 deg, intensity 27, (2 0 5); 39.85 deg, intensity 26, (2 0 8); 51.89 deg, intensity 19, (4 0 4); 56.23 deg, intensity 19, (2 2 9); 69.07 deg, intensity 16, (2 4 4); 35.34 deg, intensity 12, (0 0 9); 24.34 deg, intensity 11, (0 2 1); 25.27 deg, intensity 11, (2 0 2)

***

Entry 2:
Structure and simulated X-ray diffraction stick pattern of Ni2AsP (DFT lattice parameters and positions (PBE); Cu Kα).
Intensities are scaled so that the largest is 100.

Structural model:
```
data_Ni2AsP
_chemical_formula_sum 'Ni2 As1 P1'
_cell_length_a 3.5401
_cell_length_b 3.5401
_cell_length_c 4.9834
_cell_angle_alpha 90.00
_cell_angle_beta 90.00
_cell_angle_gamma 120.00
_space_group_name_H-M_alt 'P -6 m 2'
_space_group_IT_number 187
_space_group_name_Hall 'P -6 2'
loop_
_atom_site_label
_atom_site_type_symbol
_atom_site_fract_x
_atom_site_fract_y
_atom_site_fract_z
Ni1 Ni 0.0000 0.0000 0.2407
As1 As 0.6667 0.3333 0.5000
P1 P 0.3333 0.6667 0.0000
```

Peak list (10 most intense, 2θ from 15° to 90°, in order of falling intensity)
46.99 deg, intensity 100, (1 0 2); 34.34 deg, intensity 69, (1 0 1); 51.64 deg, intensity 60, (1 1 0); 29.13 deg, intensity 41, (1 0 0); 72.38 deg, intensity 26, (2 0 2); 63.49 deg, intensity 11, (2 0 1); 63.72 deg, intensity 10, (1 0 3); 86.16 deg, intensity 10, (2 1 1); 17.80 deg, intensity 8, (0 0 1); 76.46 deg, intensity 6, (0 0 4)

***

Entry 3:
Structure and simulated X-ray diffraction stick pattern of AlCuHgOs2 (DFT lattice parameters and positions (PBE); Cu Kα).
Intensities are scaled so that the largest is 100.

Structural model:
```
data_AlCuHgOs2
_chemical_formula_sum 'Al1 Cu1 Hg1 Os2'
_cell_length_a 4.561
_cell_length_b 4.561
_cell_length_c 4.632
_cell_angle_alpha 90.00
_cell_angle_beta 90.00
_cell_angle_gamma 90.00
_space_group_name_H-M_alt 'P 4/m m m'
_space_group_IT_number 123
_space_group_name_Hall '-P 4 2'
loop_
_atom_site_label
_atom_site_type_symbol
_atom_site_fract_x
_atom_site_fract_y
_atom_site_fract_z
Al1 Al 0.000 0.000 0.000
Cu1 Cu 0.500 0.500 0.500
Hg1 Hg 0.500 0.500 0.000
Os1 Os 0.000 0.500 0.500
```

Peak list (10 most intense, 2θ from 15° to 90°, in order of falling intensity)
33.87 deg, intensity 100, (1 1 1); 39.52 deg, intensity 53, (2 0 0); 19.46 deg, intensity 40, (1 0 0); 56.65 deg, intensity 37, (2 0 2); 68.09 deg, intensity 28, (3 1 1); 38.89 deg, intensity 27, (0 0 2); 71.26 deg, intensity 19, (2 2 2); 57.12 deg, intensity 18, (2 2 0); 19.16 deg, intensity 17, (0 0 1); 67.23 deg, intensity 14, (1 1 3)

***

Entry 4:
Structure and simulated X-ray diffraction stick pattern of Sc4AlRu5 (DFT lattice parameters and positions (PBE); Cu Kα).
Intensities are scaled so that the largest is 100.

Structural model:
```
data_Sc4AlRu5
_chemical_formula_sum 'Sc4 Al1 Ru5'
_cell_length_a 3.186
_cell_length_b 3.186
_cell_length_c 15.737
_cell_angle_alpha 90.00
_cell_angle_beta 90.00
_cell_angle_gamma 90.00
_space_group_name_H-M_alt 'P 4/m m m'
_space_group_IT_number 123
_space_group_name_Hall '-P 4 2'
loop_
_atom_site_label
_atom_site_type_symbol
_atom_site_fract_x
_atom_site_fract_y
_atom_site_fract_z
Sc1 Sc 0.000 0.000 0.103
Sc2 Sc 0.000 0.000 0.307
Al1 Al 0.000 0.000 0.500
Ru1 Ru 0.500 0.500 0.000
Ru2 Ru 0.500 0.500 0.205
Ru3 Ru 0.500 0.500 0.412
```

Peak list (10 most intense, 2θ from 15° to 90°, in order of falling intensity)
40.28 deg, intensity 100, (1 0 5); 40.02 deg, intensity 54, (1 1 0); 72.87 deg, intensity 32, (2 1 5); 28.00 deg, intensity 26, (1 0 0); 57.89 deg, intensity 18, (2 0 0); 73.39 deg, intensity 13, (1 1 10); 28.36 deg, intensity 11, (0 0 5); 49.77 deg, intensity 10, (1 1 5); 87.04 deg, intensity 9, (2 0 10); 58.66 deg, intensity 7, (0 0 10)

***

Entry 5:
Structure and simulated X-ray diffraction stick pattern of ErSc2IrO (DFT lattice parameters and positions (PBE); Cu Kα).
Intensities are scaled so that the largest is 100.

Structural model:
```
data_ErSc2IrO
_chemical_formula_sum 'Er1 Sc2 Ir1 O1'
_cell_length_a 4.257
_cell_length_b 4.257
_cell_length_c 4.867
_cell_angle_alpha 90.00
_cell_angle_beta 90.00
_cell_angle_gamma 90.00
_space_group_name_H-M_alt 'P 4 m m'
_space_group_IT_number 99
loop_
_space_group_symop_operation_xyz
'x,y,z'
'-y,x,z'
'-x,-y,z'
'y,-x,z'
'-x,y,z'
'y,x,z'
'x,-y,z'
'-y,-x,z'
loop_
_atom_site_label
_atom_site_type_symbol
_atom_site_fract_x
_atom_site_fract_y
_atom_site_fract_z
Er1 Er 0.000 0.000 0.000
Sc1 Sc 0.000 0.500 0.485
Ir1 Ir 0.500 0.500 0.077
O1 O 0.000 0.000 0.523
```

Peak list (10 most intense, 2θ from 15° to 90°, in order of falling intensity)
35.05 deg, intensity 100, (1 1 1); 18.23 deg, intensity 42, (0 0 1); 42.46 deg, intensity 36, (2 0 0); 29.68 deg, intensity 36, (1 1 0); 72.90 deg, intensity 24, (3 1 1); 57.52 deg, intensity 22, (2 0 2); 36.94 deg, intensity 21, (0 0 2); 48.08 deg, intensity 18, (1 1 2); 46.57 deg, intensity 17, (2 0 1); 61.62 deg, intensity 12, (2 2 0)